# 1
Starting from a structure optimized by DFT (PBE), the powder XRD pattern of Ho2Er5Sc2 was computed for Cu Kα.
Kinematic intensities with the Lorentz-polarization factor, no thermal factor.

Structure:
Cell lengths 19.199, 8.239, 6.850 Å; angles 90.00, 90.00, 90.00 degrees
Space group Ima2 (No. 46)
Asymmetric unit:
Ho  0.000  0.000  0.000 x4
Ho  0.250  0.055  0.030 x4
Er  0.110  0.229  0.282 x8
Er  0.165  0.750  0.283 x8
Er  0.250  0.046  0.534 x4
Sc  0.042  0.631  0.030 x8

Largest 6 diffraction maxima, sorted by position, 10° ≤ 2θ ≤ 90°:
2theta	I/Imax
28.56	100
31.55	33
32.10	88
34.04	83
34.47	44
54.34	33

# 2
Starting from a structure optimized by DFT (PBE), the powder XRD pattern of Th3As2Rh7 was computed for Cu Kα.
Kinematic intensities with the Lorentz-polarization factor, no thermal factor.

Structure:
Cell lengths 4.089, 4.089, 27.141 Å; angles 90.00, 90.00, 90.00 degrees
Space group I4/mmm (No. 139)
Asymmetric unit:
Th  0.000  0.000  0.000 x2
Th  0.000  0.000  0.174 x4
As  0.000  0.000  0.371 x4
Rh  0.000  0.000  0.280 x4
Rh  0.000  0.000  0.500 x2
Rh  0.000  0.500  0.080 x8

Largest 6 diffraction maxima, sorted by position, 10° ≤ 2θ ≤ 90°:
2theta	I/Imax
30.93	33
36.90	100
37.04	27
42.81	36
44.30	59
76.65	27

# 3
Starting from a structure optimized by DFT (PBE), the powder XRD pattern of TbInSn2Se5 was computed for Cu Kα.
Kinematic intensities with the Lorentz-polarization factor, no thermal factor.

Structure:
Cell lengths 4.107, 19.059, 13.538 Å; angles 90.00, 90.00, 90.00 degrees
Space group Cmc2_1 (No. 36)
Asymmetric unit:
Tb  0.000  0.195  0.000 x4
In  0.000  0.454  0.410 x4
Sn  0.000  0.131  0.304 x4
Sn  0.000  0.151  0.642 x4
Se  0.000  0.039  0.031 x4
Se  0.000  0.297  0.652 x4
Se  0.000  0.320  0.352 x4
Se  0.000  0.345  0.998 x4
Se  0.000  0.467  0.755 x4

Largest 6 diffraction maxima, sorted by position, 10° ≤ 2θ ≤ 90°:
2theta	I/Imax
25.81	26
28.87	46
29.79	100
34.72	29
37.88	31
44.10	25

# 4
Starting from a structure optimized by DFT (PBE), the powder XRD pattern of Li2HoGa2Ag2 was computed for Cu Kα.
Kinematic intensities with the Lorentz-polarization factor, no thermal factor.

Structure:
Cell lengths 8.011, 4.547, 7.459 Å; angles 90.00, 109.40, 90.00 degrees
Space group C2/m (No. 12)
Asymmetric unit:
Li  0.140  0.000  0.430 x4
Ho  0.000  0.000  0.000 x2
Ga  0.076  0.500  0.726 x4
Ag  0.234  0.500  0.209 x4

Largest 6 diffraction maxima, sorted by position, 10° ≤ 2θ ≤ 90°:
2theta	I/Imax
12.58	92
28.02	83
28.35	42
37.26	78
39.13	100
39.65	48

# 5
Starting from a structure optimized by DFT (PBE), the powder XRD pattern of DyTh5Tl4 was computed for Cu Kα.
Kinematic intensities with the Lorentz-polarization factor, no thermal factor.

Structure:
Cell lengths 10.823, 12.256, 4.811 Å; angles 90.00, 90.00, 90.00 degrees
Space group Pmmn (No. 59, origin choice 2)
Asymmetric unit:
Dy  0.250  0.250  0.249 x2
Th  0.067  0.086  0.750 x8
Th  0.250  0.750  0.250 x2
Tl  0.046  0.750  0.750 x4
Tl  0.250  0.001  0.250 x4

Largest 6 diffraction maxima, sorted by position, 10° ≤ 2θ ≤ 90°:
2theta	I/Imax
28.67	48
30.98	100
33.16	78
35.72	28
37.38	35
50.80	21

# 6
Starting from a structure optimized by DFT (PBE), the powder XRD pattern of Cs2PrUSe4 was computed for Cu Kα.
Kinematic intensities with the Lorentz-polarization factor, no thermal factor.

Structure:
Cell lengths 7.559, 4.367, 8.789 Å; angles 90.00, 106.68, 90.00 degrees
Space group P2/m (No. 10)
Asymmetric unit:
Cs  0.000  0.000  0.000 x1
Cs  0.500  0.500  0.000 x1
Pr  0.000  0.500  0.500 x1
U  0.500  0.000  0.500 x1
Se  0.238  0.000  0.691 x2
Se  0.279  0.500  0.312 x2

Largest 6 diffraction maxima, sorted by position, 10° ≤ 2θ ≤ 90°:
2theta	I/Imax
10.51	18
24.58	16
27.50	100
37.10	35
41.36	36
50.39	19

# 7
Starting from a structure optimized by DFT (PBE), the powder XRD pattern of TbPm2Tc9 was computed for Cu Kα.
Kinematic intensities with the Lorentz-polarization factor, no thermal factor.

Structure:
Cell lengths 9.635, 5.290, 9.443 Å; angles 90.00, 112.81, 90.00 degrees
Space group C2/m (No. 12)
Asymmetric unit:
Tb  0.000  0.000  0.000 x2
Pm  0.142  0.000  0.429 x4
Tc  0.000  0.500  0.500 x2
Tc  0.077  0.500  0.231 x4
Tc  0.172  0.245  0.750 x8
Tc  0.185  0.500  0.990 x4

Largest 6 diffraction maxima, sorted by position, 10° ≤ 2θ ≤ 90°:
2theta	I/Imax
32.65	58
33.17	60
37.72	59
38.00	89
39.62	100
39.88	84

# 8
Starting from a structure optimized by DFT (PBE), the powder XRD pattern of DyHo3Tl6 was computed for Cu Kα.
Kinematic intensities with the Lorentz-polarization factor, no thermal factor.

Structure:
Cell lengths 14.5879, 14.5879, 5.2314 Å; angles 90.00, 90.00, 120.00 degrees
Space group R3m (No. 160, hexagonal axes)
Asymmetric unit:
Dy  0.0000  0.0000  0.0000 x3
Ho  0.2017  0.4034  0.5333 x9
Tl  0.0592  0.5296  0.6941 x9
Tl  0.0746  0.1492  0.5107 x9

Largest 6 diffraction maxima, sorted by position, 10° ≤ 2θ ≤ 90°:
2theta	I/Imax
21.10	41
24.41	33
30.71	44
35.03	34
35.41	100
63.08	26

# 9
Starting from a structure optimized by DFT (PBE), the powder XRD pattern of Sm4Ru2Pb was computed for Cu Kα.
Kinematic intensities with the Lorentz-polarization factor, no thermal factor.

Structure:
Cell lengths 6.158, 7.983, 8.650 Å; angles 116.57, 100.93, 96.56 degrees
Space group P1 (No. 1)
Asymmetric unit:
Sm  0.000  0.000  0.000 x1
Sm  0.076  0.917  0.392 x1
Sm  0.293  0.352  0.827 x1
Sm  0.375  0.783  0.773 x1
Sm  0.494  0.590  0.304 x1
Sm  0.577  0.073  0.263 x1
Sm  0.797  0.506  0.717 x1
Sm  0.897  0.435  0.103 x1
Ru  0.200  0.711  0.058 x1
Ru  0.485  0.176  0.997 x1
Ru  0.686  0.717  0.054 x1
Ru  0.917  0.713  0.554 x1
Pb  0.130  0.359  0.434 x1
Pb  0.708  0.059  0.670 x1

Largest 6 diffraction maxima, sorted by position, 10° ≤ 2θ ≤ 90°:
2theta	I/Imax
29.45	48
29.90	37
31.72	66
32.58	100
32.74	74
34.41	54

# 10
Starting from a structure optimized by DFT (PBE), the powder XRD pattern of Tb3DySc2 was computed for Cu Kα.
Kinematic intensities with the Lorentz-polarization factor, no thermal factor.

Structure:
Cell lengths 22.643, 3.380, 9.888 Å; angles 90.00, 107.82, 90.00 degrees
Space group C2/m (No. 12)
Asymmetric unit:
Tb  0.060  0.000  0.432 x4
Tb  0.069  0.500  0.775 x4
Tb  0.197  0.000  0.708 x4
Dy  0.185  0.000  0.044 x4
Sc  0.072  0.500  0.139 x4
Sc  0.192  0.000  0.373 x4

Largest 6 diffraction maxima, sorted by position, 10° ≤ 2θ ≤ 90°:
2theta	I/Imax
10.41	80
29.20	45
31.60	71
32.08	100
33.24	86
33.69	53